Diffraction record for Dy2HoMg5. The powder X-ray diffraction pattern is theoretical, not measured: it uses a cell relaxed with PBE and λ = 1.5418 Å (Cu Kα).
Kinematic intensities with the Lorentz-polarization factor, no thermal factor.

Atomic structure:
```
data_Dy2HoMg5
_symmetry_space_group_name_H-M 'I 4/m m m'
_symmetry_Int_Tables_number 139
_symmetry_space_group_name_Hall '-I 4 2'
_cell_length_a 5.246
_cell_length_b 5.246
_cell_length_c 15.099
_cell_angle_alpha 90.00
_cell_angle_beta 90.00
_cell_angle_gamma 90.00
loop_
_atom_site_label
_atom_site_fract_x
_atom_site_fract_y
_atom_site_fract_z
Dy1 0.000 0.000 0.244
Ho1 0.000 0.000 0.500
Mg1 0.000 0.000 0.000
Mg2 0.000 0.500 0.119
```

Main lines, by intensity (5 to 70 degrees two-theta):
- 2θ 33.88, I 100, hkl 1 1 4
- 2θ 23.99, I 53, hkl 1 1 0
- 2θ 34.19, I 51, hkl 2 0 0
- 2θ 61.01, I 36, hkl 3 1 4
- 2θ 23.57, I 27, hkl 0 0 4
- 2θ 41.94, I 25, hkl 2 0 4